Record 1
# Mn2In
Computed powder X-ray diffraction pattern, Cu Ka. Input: a crystal structure in Alexandria, relaxed with GGA-PBE.

Most intense lines, 2θ = 10–90°, in order of rising 2θ:
d/Å, two_theta, I_rel
4.609, 19.26, 89
2.550, 35.19, 39
2.305, 39.09, 55
2.232, 40.42, 100
2.061, 43.92, 21
1.710, 53.60, 22
1.630, 56.47, 18
1.316, 71.72, 33
1.275, 74.39, 15
1.116, 87.41, 10

Structural model:
```
Mn2In
1.0
4.609 0.000 0.000
0.000 4.609 0.000
0.000 0.000 3.062
Mn In
2 1
Cartesian
0.000 2.305 0.000
2.305 0.000 0.000
0.000 0.000 1.531
```

Record 2
# MnIn
Computed powder X-ray diffraction pattern, Cu Ka. Input: a crystal structure in Alexandria, relaxed with GGA-PBE.

Most intense lines, 2θ = 10–90°, in order of rising 2θ:
d/Å, two_theta, I_rel
3.144, 28.38, 25
2.881, 31.05, 21
2.487, 36.11, 21
2.344, 38.41, 45
2.228, 40.50, 100
1.658, 55.40, 28
1.380, 67.95, 9
1.330, 70.87, 17
1.266, 75.01, 11
1.244, 76.61, 8

Structural model:
```
MnIn
1.0
-4.972 4.972 1.505
4.972 -4.972 1.505
4.972 4.972 -1.505
Mn In
4 4
Cartesian
3.454 0.253 0.000
4.719 -1.517 1.505
0.253 6.489 0.000
1.517 4.719 1.505
3.589 3.297 0.000
1.675 -1.382 1.505
3.297 6.354 0.000
1.382 1.675 1.505
```

Record 3
# MnIn
Computed powder X-ray diffraction pattern, Cu Ka. Input: a crystal structure in Alexandria, relaxed with GGA-PBE.

Most intense lines, 2θ = 10–90°, in order of rising 2θ:
d/Å, two_theta, I_rel
3.283, 27.16, 24
3.126, 28.55, 21
2.570, 34.91, 57
2.415, 37.24, 100
2.267, 39.77, 47
2.236, 40.34, 97
1.700, 53.94, 31
1.335, 70.52, 16
1.303, 72.57, 16
1.236, 77.16, 20

Structural model:
```
MnIn
1.0
4.533 0.000 0.000
0.000 4.317 2.853
0.000 -4.317 2.853
Mn In
3 3
Cartesian
0.000 0.000 0.000
2.267 -2.938 3.704
2.267 2.938 3.704
0.000 -1.537 2.486
0.000 1.537 2.486
2.267 0.000 4.026
```

Record 4
# MnIn
Computed powder X-ray diffraction pattern, Cu Ka. Input: a crystal structure in Alexandria, relaxed with GGA-PBE.

Most intense lines, 2θ = 10–90°, in order of rising 2θ:
d/Å, two_theta, I_rel
3.461, 25.74, 33
2.931, 30.50, 37
2.771, 32.30, 24
2.445, 36.76, 100
2.350, 38.31, 89
2.216, 40.72, 46
2.074, 43.64, 65
1.791, 50.99, 31
1.393, 67.22, 30
1.276, 74.34, 21

Structural model:
```
MnIn
1.0
1.520 -5.543 0.000
1.520 5.543 0.000
0.000 0.000 4.432
Mn In
2 2
Cartesian
1.520 3.658 3.324
1.520 -3.658 1.108
1.520 0.959 3.324
1.520 -0.959 1.108
```

Record 5
# MnIn2Mo2
Computed powder X-ray diffraction pattern, Cu Ka. Input: a crystal structure in Alexandria, relaxed with GGA-PBE.

Most intense lines, 2θ = 10–90°, in order of rising 2θ:
d/Å, two_theta, I_rel
4.495, 19.75, 7
3.179, 28.07, 6
2.617, 34.26, 13
2.420, 37.15, 100
2.306, 39.06, 25
2.010, 45.10, 21
1.515, 61.16, 16
1.462, 63.63, 12
1.352, 69.51, 15
1.144, 84.77, 10

Structural model:
```
MnIn2Mo2
1.0
6.357 0.000 0.000
0.000 6.357 0.000
0.000 0.000 4.612
Mn In Mo
2 4 4
Cartesian
0.000 0.000 0.000
3.179 3.179 0.000
1.090 2.088 2.306
2.088 5.267 2.306
4.269 1.090 2.306
5.267 4.269 2.306
0.897 4.076 0.000
2.281 0.897 0.000
4.076 5.460 0.000
5.460 2.281 0.000
```

Record 6
# Pa2MnInN5
Computed powder X-ray diffraction pattern, Cu Ka. Input: a crystal structure in Alexandria, relaxed with GGA-PBE.

Most intense lines, 2θ = 10–90°, in order of rising 2θ:
d/Å, two_theta, I_rel
5.619, 15.77, 53
2.981, 29.98, 42
2.867, 31.20, 100
2.810, 31.85, 41
2.633, 34.05, 81
2.357, 38.19, 20
2.045, 44.30, 49
1.633, 56.35, 19
1.554, 59.50, 27
1.401, 66.76, 22

Structural model:
```
Pa2MnInN5
1.0
6.666 0.000 0.000
0.000 6.666 0.000
0.000 0.000 5.619
Pa Mn In N
4 2 2 10
Cartesian
1.195 2.138 0.000
2.138 5.470 0.000
4.528 1.195 0.000
5.470 4.528 0.000
0.000 3.333 2.810
3.333 0.000 2.810
0.000 0.000 2.810
3.333 3.333 2.810
0.000 0.000 0.000
0.933 4.265 1.413
0.933 4.265 4.206
2.400 0.933 1.413
2.400 0.933 4.206
3.333 3.333 0.000
4.265 5.733 1.413
4.265 5.733 4.206
5.733 2.400 1.413
5.733 2.400 4.206
```